# 1
Starting from a structure optimized by DFT (PBE), the X-ray diffraction stick pattern of Pm2Be3Pt4 was simulated for Cu Kα, 1.54184 Å.
Peak positions follow from Bragg's law for the DFT cell and can differ from measured ones.

Peak list (12 most intense, 10 to 80 degrees two-theta, sorted by position)
2θ 14.2, rel. 16; 2θ 28.7, rel. 58; 2θ 33.5, rel. 50; 2θ 34.7, rel. 70; 2θ 40.5, rel. 100; 2θ 44.7, rel. 37; 2θ 60.6, rel. 14; 2θ 63.0, rel. 32; 2θ 64.6, rel. 26; 2θ 68.7, rel. 10; 2θ 71.3, rel. 12; 2θ 78.6, rel. 14

Structure:
Cell lengths 7.7113, 6.7677, 5.2915 Å; angles 78.45, 59.30, 42.25 degrees
Fractional coordinates of all 9 atoms:
Pm 0.1479 0.1479 0.8521
Pm 0.8521 0.8521 0.1479
Be 0.0000 0.0000 0.5000
Be 0.5000 0.5000 0.0000
Be 0.5000 0.5000 0.5000
Pt 0.1913 0.5261 0.4739
Pt 0.4739 0.8087 0.1913
Pt 0.5261 0.1913 0.8087
Pt 0.8087 0.4739 0.5261

# 2
Starting from a structure optimized by DFT (PBE), the X-ray diffraction stick pattern of Pm3Be2SbPt9 was simulated for Cu Kα, 1.54184 Å.
Peak positions follow from Bragg's law for the DFT cell and can differ from measured ones.

Peak list (12 most intense, 10 to 80 degrees two-theta, sorted by position)
2θ 28.2, rel. 39; 2θ 33.3, rel. 11; 2θ 36.5, rel. 100; 2θ 37.9, rel. 12; 2θ 40.1, rel. 92; 2θ 45.7, rel. 12; 2θ 52.7, rel. 19; 2θ 60.8, rel. 14; 2θ 63.1, rel. 27; 2θ 70.5, rel. 18; 2θ 75.1, rel. 12; 2θ 77.5, rel. 17

Structure:
Cell lengths 5.8926, 5.8926, 9.4889 Å; angles 90.00, 90.00, 120.00 degrees
Fractional coordinates of all 15 atoms:
Pm 0.0000 0.0000 0.0000
Pm 0.3333 0.6667 0.6370
Pm 0.6667 0.3333 0.3630
Be 0.3333 0.6667 0.1441
Be 0.6667 0.3333 0.8559
Sb 0.0000 0.0000 0.5000
Pt 0.0000 0.5000 0.0000
Pt 0.1653 0.3307 0.2851
Pt 0.1653 0.8347 0.2851
Pt 0.3307 0.1653 0.7149
Pt 0.5000 0.0000 0.0000
Pt 0.5000 0.5000 0.0000
Pt 0.6693 0.8347 0.2851
Pt 0.8347 0.1653 0.7149
Pt 0.8347 0.6693 0.7149

# 3
Starting from a structure optimized by DFT (PBE), the X-ray diffraction stick pattern of PmScBe2Pt5 was simulated for Cu Kα, 1.54184 Å.
Peak positions follow from Bragg's law for the DFT cell and can differ from measured ones.

Peak list (12 most intense, 10 to 80 degrees two-theta, sorted by position)
2θ 26.9, rel. 58; 2θ 31.2, rel. 11; 2θ 32.5, rel. 50; 2θ 36.2, rel. 100; 2θ 41.6, rel. 13; 2θ 44.7, rel. 41; 2θ 52.9, rel. 37; 2θ 56.3, rel. 33; 2θ 65.1, rel. 14; 2θ 71.8, rel. 15; 2θ 73.8, rel. 11; 2θ 76.8, rel. 24

Structure:
Cell lengths 4.0525, 4.0525, 9.9570 Å; angles 90.00, 90.00, 90.00 degrees
Fractional coordinates of all 9 atoms:
Pm 0.0000 0.0000 0.0000
Sc 0.0000 0.0000 0.5000
Be 0.5000 0.5000 0.2207
Be 0.5000 0.5000 0.7793
Pt 0.0000 0.5000 0.3107
Pt 0.0000 0.5000 0.6893
Pt 0.5000 0.0000 0.3107
Pt 0.5000 0.0000 0.6893
Pt 0.5000 0.5000 0.0000

# 4
Starting from a structure optimized by DFT (PBE), the X-ray diffraction stick pattern of PmBe2Rh2 was simulated for Cu Kα, 1.54184 Å.
Peak positions follow from Bragg's law for the DFT cell and can differ from measured ones.

Peak list (12 most intense, 10 to 80 degrees two-theta, sorted by position)
2θ 23.6, rel. 47; 2θ 36.5, rel. 100; 2θ 37.1, rel. 19; 2θ 40.3, rel. 18; 2θ 43.5, rel. 33; 2θ 50.0, rel. 13; 2θ 58.4, rel. 10; 2θ 60.8, rel. 22; 2θ 63.2, rel. 11; 2θ 70.8, rel. 15; 2θ 75.2, rel. 24; 2θ 77.6, rel. 10

Structure:
Cell lengths 5.3587, 5.3587, 5.3587 Å; angles 134.29, 134.29, 66.63 degrees
Fractional coordinates of all 5 atoms:
Pm 0.0000 0.0000 0.0000
Be 0.3538 0.3538 0.0000
Be 0.6462 0.6462 0.0000
Rh 0.2500 0.7500 0.5000
Rh 0.7500 0.2500 0.5000

# 5
Starting from a structure optimized by DFT (PBE), the X-ray diffraction stick pattern of Pm2Be4Rh5 was simulated for Cu Kα, 1.54184 Å.
Peak positions follow from Bragg's law for the DFT cell and can differ from measured ones.

Peak list (12 most intense, 10 to 80 degrees two-theta, sorted by position)
2θ 28.3, rel. 72; 2θ 34.7, rel. 61; 2θ 36.6, rel. 100; 2θ 37.8, rel. 45; 2θ 39.1, rel. 35; 2θ 43.1, rel. 37; 2θ 53.8, rel. 12; 2θ 58.6, rel. 30; 2θ 67.4, rel. 18; 2θ 72.4, rel. 23; 2θ 73.1, rel. 11; 2θ 75.9, rel. 12

Structure:
Cell lengths 7.7929, 6.8014, 5.5577 Å; angles 77.46, 58.42, 44.12 degrees
Fractional coordinates of all 11 atoms:
Pm 0.1371 0.1371 0.8629
Pm 0.8629 0.8629 0.1371
Be 0.2082 0.5343 0.4657
Be 0.4657 0.7918 0.2082
Be 0.5343 0.2082 0.7918
Be 0.7918 0.4657 0.5343
Rh 0.0000 0.0000 0.5000
Rh 0.2500 0.2500 0.2500
Rh 0.5000 0.5000 0.0000
Rh 0.5000 0.5000 0.5000
Rh 0.7500 0.7500 0.7500

# 6
Starting from a structure optimized by DFT (PBE), the X-ray diffraction stick pattern of Pm2BeSiRh6 was simulated for Cu Kα, 1.54184 Å.
Peak positions follow from Bragg's law for the DFT cell and can differ from measured ones.

Peak list (12 most intense, 10 to 80 degrees two-theta, sorted by position)
2θ 20.2, rel. 1; 2θ 28.7, rel. 5; 2θ 35.4, rel. 100; 2θ 41.1, rel. 57; 2θ 50.9, rel. 1; 2θ 51.0, rel. 1; 2θ 59.4, rel. 6; 2θ 59.5, rel. 31; 2θ 71.1, rel. 19; 2θ 71.3, rel. 19; 2θ 74.8, rel. 6; 2θ 75.0, rel. 6

Structure:
Cell lengths 6.2113, 6.2113, 6.2113 Å; angles 120.09, 119.88, 90.03 degrees
Fractional coordinates of all 10 atoms:
Pm 0.2501 0.2501 0.0000
Pm 0.7499 0.7499 0.0000
Be 0.5000 0.0000 0.5000
Si 0.0000 0.5000 0.5000
Rh 0.2573 0.2426 0.5000
Rh 0.2573 0.7574 0.0147
Rh 0.2574 0.7574 0.5000
Rh 0.7426 0.2426 0.5000
Rh 0.7427 0.2426 0.9853
Rh 0.7427 0.7574 0.5000

# 7
Starting from a structure optimized by DFT (PBE), the X-ray diffraction stick pattern of PmBeS was simulated for Cu Kα, 1.54184 Å.
Peak positions follow from Bragg's law for the DFT cell and can differ from measured ones.

Peak list (12 most intense, 10 to 80 degrees two-theta, sorted by position)
2θ 22.9, rel. 100; 2θ 24.7, rel. 38; 2θ 30.7, rel. 27; 2θ 37.0, rel. 46; 2θ 39.6, rel. 47; 2θ 40.5, rel. 11; 2θ 46.2, rel. 15; 2θ 47.2, rel. 40; 2θ 55.3, rel. 14; 2θ 60.4, rel. 10; 2θ 62.5, rel. 13; 2θ 70.1, rel. 14

Structure:
Cell lengths 7.6723, 7.6723, 7.6723 Å; angles 34.53, 34.53, 34.53 degrees
Fractional coordinates of all 6 atoms:
Pm 0.0811 0.0811 0.0811
Pm 0.9189 0.9189 0.9189
Be 0.3221 0.3221 0.3221
Be 0.6779 0.6779 0.6779
S 0.2196 0.2196 0.2196
S 0.7804 0.7804 0.7804

# 8
Starting from a structure optimized by DFT (PBE), the X-ray diffraction stick pattern of Pm3BeSi3 was simulated for Cu Kα, 1.54184 Å.
Peak positions follow from Bragg's law for the DFT cell and can differ from measured ones.

Peak list (12 most intense, 10 to 80 degrees two-theta, sorted by position)
2θ 21.2, rel. 37; 2θ 27.2, rel. 72; 2θ 30.1, rel. 31; 2θ 32.5, rel. 100; 2θ 32.6, rel. 66; 2θ 37.0, rel. 27; 2θ 41.9, rel. 24; 2θ 46.3, rel. 18; 2θ 50.7, rel. 27; 2θ 51.7, rel. 36; 2θ 57.8, rel. 26; 2θ 61.1, rel. 25

Structure:
Cell lengths 9.3744, 9.3744, 9.3744 Å; angles 155.85, 153.40, 36.23 degrees
Fractional coordinates of all 7 atoms:
Pm 0.0000 0.0000 0.0000
Pm 0.1832 0.6832 0.5000
Pm 0.3674 0.3674 0.0000
Be 0.6162 0.1162 0.5000
Si 0.5513 0.5513 0.0000
Si 0.7411 0.2411 0.5000
Si 0.8226 0.8226 0.0000

# 9
Starting from a structure optimized by DFT (PBE), the X-ray diffraction stick pattern of PmTmBe2Si2 was simulated for Cu Kα, 1.54184 Å.
Peak positions follow from Bragg's law for the DFT cell and can differ from measured ones.

Peak list (12 most intense, 10 to 80 degrees two-theta, sorted by position)
2θ 21.8, rel. 25; 2θ 26.5, rel. 63; 2θ 34.6, rel. 100; 2θ 44.4, rel. 10; 2θ 46.8, rel. 26; 2θ 52.2, rel. 16; 2θ 52.5, rel. 20; 2θ 54.6, rel. 9; 2θ 59.4, rel. 21; 2θ 66.5, rel. 18; 2θ 75.4, rel. 10; 2θ 78.9, rel. 19

Structure:
Cell lengths 3.8843, 3.8843, 8.1561 Å; angles 90.00, 90.00, 120.00 degrees
Fractional coordinates of all 6 atoms:
Pm 0.0000 0.0000 0.0000
Tm 0.0000 0.0000 0.5000
Be 0.3333 0.6667 0.7403
Be 0.6667 0.3333 0.2597
Si 0.3333 0.6667 0.2601
Si 0.6667 0.3333 0.7399

# 10
Starting from a structure optimized by DFT (PBE), the X-ray diffraction stick pattern of Pm2Be3ZnSi4 was simulated for Cu Kα, 1.54184 Å.
Peak positions follow from Bragg's law for the DFT cell and can differ from measured ones.

Peak list (12 most intense, 10 to 80 degrees two-theta, sorted by position)
2θ 18.2, rel. 20; 2θ 23.9, rel. 94; 2θ 31.3, rel. 20; 2θ 35.5, rel. 61; 2θ 36.5, rel. 100; 2θ 36.9, rel. 16; 2θ 44.9, rel. 35; 2θ 51.5, rel. 24; 2θ 52.2, rel. 23; 2θ 58.5, rel. 29; 2θ 71.2, rel. 18; 2θ 77.3, rel. 22

Structure:
Cell lengths 4.0369, 4.0369, 9.7358 Å; angles 90.00, 90.00, 90.00 degrees
Fractional coordinates of all 10 atoms:
Pm 0.0000 0.5000 0.2417
Pm 0.5000 0.0000 0.7583
Be 0.0000 0.5000 0.8775
Be 0.5000 0.0000 0.1225
Be 0.5000 0.5000 0.5000
Zn 0.0000 0.0000 0.5000
Si 0.0000 0.0000 0.0000
Si 0.0000 0.5000 0.6426
Si 0.5000 0.0000 0.3574
Si 0.5000 0.5000 0.0000

# 11
Starting from a structure optimized by DFT (PBE), the X-ray diffraction stick pattern of PrBeZnPt2 was simulated for Cu Kα, 1.54184 Å.
Peak positions follow from Bragg's law for the DFT cell and can differ from measured ones.

Peak list (12 most intense, 10 to 80 degrees two-theta, sorted by position)
2θ 23.4, rel. 31; 2θ 31.4, rel. 68; 2θ 32.5, rel. 100; 2θ 35.2, rel. 28; 2θ 44.9, rel. 46; 2θ 45.2, rel. 25; 2θ 46.1, rel. 47; 2θ 56.6, rel. 42; 2θ 65.4, rel. 15; 2θ 66.3, rel. 32; 2θ 74.4, rel. 12; 2θ 75.0, rel. 21

Structure:
Cell lengths 6.3262, 6.3262, 6.3262 Å; angles 142.81, 142.81, 53.61 degrees
Fractional coordinates of all 5 atoms:
Pr 0.0000 0.0000 0.0000
Be 0.7500 0.2500 0.5000
Zn 0.2500 0.7500 0.5000
Pt 0.3782 0.3782 0.0000
Pt 0.6218 0.6218 0.0000

# 12
Starting from a structure optimized by DFT (PBE), the X-ray diffraction stick pattern of BePt3 was simulated for Cu Kα, 1.54184 Å.
Peak positions follow from Bragg's law for the DFT cell and can differ from measured ones.

Peak list (12 most intense, 10 to 80 degrees two-theta, sorted by position)
2θ 33.6, rel. 42; 2θ 35.2, rel. 100; 2θ 37.3, rel. 10; 2θ 38.9, rel. 10; 2θ 43.2, rel. 35; 2θ 43.3, rel. 98; 2θ 55.8, rel. 20; 2θ 58.2, rel. 27; 2θ 74.1, rel. 12; 2θ 75.2, rel. 26; 2θ 78.4, rel. 20; 2θ 79.4, rel. 18

Structure:
Cell lengths 5.4398, 5.4398, 5.4398 Å; angles 150.40, 134.74, 55.02 degrees
Fractional coordinates of all 4 atoms:
Be 0.0000 0.0000 0.0000
Pt 0.1929 0.6929 0.5000
Pt 0.5000 0.5000 0.0000
Pt 0.8071 0.3071 0.5000

- Number 3 is which compound?
  PmScBe2Pt5

- Number 6 is which compound?
  Pm2BeSiRh6